[1]
Starting from a crystal structure in Alexandria, relaxed with PBE, the PXRD pattern of Pu2NClO was calculated for Cu Ka.
Lines closer than 0.1° are merged.

Main lines, by intensity (2θ from 10° to 80°):
2θ/deg  I_rel
30.0  1000
31.5  456
27.4  452
26.6  422
55.0  291
35.4  289

Atomic structure:
```
10
Lattice="6.5067 -1.9253 0.0000 6.5067 1.9253 0.0000 -6.2107 0.0000 7.6540" Properties=species:S:1:pos:R:3 pbc="T T T"
Pu -1.0527 0.0000 2.3812
Pu -1.5374 0.0000 7.1843
Pu 8.3401 0.0000 0.4697
Pu 7.8553 0.0000 5.2728
N -3.8382 0.0000 7.0107
N 10.6408 0.0000 0.6433
Cl 1.8696 0.0000 2.9943
Cl 4.9330 0.0000 4.6596
O 0.6833 0.0000 6.2398
O 6.1194 0.0000 1.4142
```

---

[2]
Starting from a crystal structure in Alexandria, relaxed with PBE, the PXRD pattern of OsNCl3 was calculated for Cu Ka.
Lines closer than 0.1° are merged.

Main lines, by intensity (2θ from 10° to 80°):
2θ/deg  I_rel
12.5  1000
13.3  690
15.0  359
18.3  326
31.6  323
19.7  296

Atomic structure:
```
20
Lattice="7.0837 0.0000 0.0000 0.0000 6.6736 0.0000 -0.3814 0.0000 12.5295" Properties=species:S:1:pos:R:3 pbc="T T T"
Os 0.4810 0.8336 1.4654
Os 0.2903 5.8400 7.7301
Os 6.4121 0.8336 4.7993
Os 6.2214 5.8400 11.0641
N 0.0667 2.3877 2.5710
N -0.1240 4.2858 8.8358
N 6.8264 2.3877 3.6937
N 6.6357 4.2858 9.9585
Cl 0.4939 1.3484 6.7809
Cl 0.6846 5.3252 0.5161
Cl 1.3671 0.0732 3.5729
Cl 1.1764 6.6004 9.8377
Cl 2.4606 1.5224 0.5905
Cl 2.2699 5.1511 6.8553
Cl 4.4325 1.5224 5.6742
Cl 4.2418 5.1511 11.9390
Cl 5.5260 0.0732 2.6918
Cl 5.3353 6.6004 8.9566
Cl 6.0178 1.3484 12.0134
Cl 6.2085 5.3252 5.7486
```

---

[3]
Starting from a crystal structure in Alexandria, relaxed with PBE, the PXRD pattern of OsPtN4Cl6 was calculated for Cu Ka.
Lines closer than 0.1° are merged.

Main lines, by intensity (2θ from 10° to 80°):
2θ/deg  I_rel
14.8  1000
16.2  786
22.0  713
29.4  468
19.3  365
41.3  295

Atomic structure:
```
24
Lattice="5.9764 -5.4652 0.0000 5.9764 5.4652 0.0000 0.0000 0.0000 9.2156" Properties=species:S:1:pos:R:3 pbc="T T T"
Os 0.0000 0.0000 0.0000
Os 5.9764 0.0000 4.6078
Pt 0.0000 0.0000 4.6078
Pt 5.9764 0.0000 0.0000
N 1.2578 0.4829 3.2016
N 1.2578 -0.4829 6.0140
N 4.7186 0.4829 1.4062
N 4.7186 -0.4829 7.8094
N 7.2342 0.4829 1.4062
N 7.2342 -0.4829 7.8094
N 10.6949 0.4829 3.2016
N 10.6949 -0.4829 6.0140
Cl 1.6282 1.4868 8.4921
Cl 10.3245 -1.4868 0.7235
Cl 5.9764 4.4508 7.0930
Cl 4.3481 1.4868 5.3313
Cl 1.6282 -1.4868 0.7235
Cl 5.9764 1.0144 2.4852
Cl 4.3481 -1.4868 3.8843
Cl 7.6046 1.4868 5.3313
Cl 5.9764 -1.0144 6.7304
Cl 10.3245 1.4868 8.4921
Cl 7.6046 -1.4868 3.8843
Cl 5.9764 -4.4508 2.1226
```

---

[4]
Starting from a crystal structure in Alexandria, relaxed with PBE, the PXRD pattern of Rb2OsNCl6 was calculated for Cu Ka.
Lines closer than 0.1° are merged.

Main lines, by intensity (2θ from 10° to 80°):
2θ/deg  I_rel
15.0  1000
25.4  742
32.7  654
22.9  492
41.8  341
52.3  311

Atomic structure:
```
10
Lattice="-3.8778 3.8778 4.5469 3.8778 -3.8778 4.5469 3.8778 3.8778 -4.5469" Properties=species:S:1:pos:R:3 pbc="T T T"
Rb 3.8778 0.0000 2.2735
Rb 0.0000 3.8778 2.2735
Os 0.0000 0.0000 0.0000
N 0.0000 0.0000 4.5469
Cl 1.6704 1.6704 0.0000
Cl 2.2074 -2.2074 4.5469
Cl 0.0000 0.0000 2.4421
Cl 0.0000 0.0000 6.6518
Cl -2.2074 2.2074 4.5469
Cl 2.2074 2.2074 4.5469
```

---

Please write out number 2 again, unchanged.
Starting from a crystal structure in Alexandria, relaxed with PBE, the PXRD pattern of OsNCl3 was calculated for Cu Ka.
Lines closer than 0.1° are merged.

Main lines, by intensity (2θ from 10° to 80°):
2θ/deg  I_rel
12.5  1000
13.3  690
15.0  359
18.3  326
31.6  323
19.7  296

Atomic structure:
```
20
Lattice="7.0837 0.0000 0.0000 0.0000 6.6736 0.0000 -0.3814 0.0000 12.5295" Properties=species:S:1:pos:R:3 pbc="T T T"
Os 0.4810 0.8336 1.4654
Os 0.2903 5.8400 7.7301
Os 6.4121 0.8336 4.7993
Os 6.2214 5.8400 11.0641
N 0.0667 2.3877 2.5710
N -0.1240 4.2858 8.8358
N 6.8264 2.3877 3.6937
N 6.6357 4.2858 9.9585
Cl 0.4939 1.3484 6.7809
Cl 0.6846 5.3252 0.5161
Cl 1.3671 0.0732 3.5729
Cl 1.1764 6.6004 9.8377
Cl 2.4606 1.5224 0.5905
Cl 2.2699 5.1511 6.8553
Cl 4.4325 1.5224 5.6742
Cl 4.2418 5.1511 11.9390
Cl 5.5260 0.0732 2.6918
Cl 5.3353 6.6004 8.9566
Cl 6.0178 1.3484 12.0134
Cl 6.2085 5.3252 5.7486
```